# HfZr2Ni2As4Pd2
Theoretical powder XRD pattern, Cu Kα X-rays. Input: a cell relaxed with GGA-PBE.
No peak broadening, texture or thermal motion is included.

The 8 most intense peaks (2θ = 10–90°), most intense first:
d [Å]  intensity  index
2.370  100  2 1 1
2.116  88  0 1 3
2.502  84  2 1 0
2.384  80  2 1 -1
1.935  74  0 2 0
2.512  66  1 1 -2
7.583  48  0 0 1
6.563  48  1 0 0

Cell and atoms:
Unit cell a=6.564 b=3.870 c=7.583 alpha=90.00 beta=90.73 gamma=90.00
Space group Pm (No. 6)
Asymmetric unit:
Hf 0.000 0.000 0.000 [1 per cell]
Zr 0.066 0.500 0.374 [1 per cell]
Zr 0.505 0.000 0.874 [1 per cell]
Ni 0.168 0.500 0.748 [1 per cell]
Ni 0.691 0.500 0.130 [1 per cell]
As 0.290 0.500 0.053 [1 per cell]
As 0.297 0.000 0.577 [1 per cell]
As 0.774 0.000 0.303 [1 per cell]
As 0.785 0.500 0.816 [1 per cell]
Pd 0.389 0.000 0.257 [1 per cell]
Pd 0.901 0.000 0.624 [1 per cell]

# LuSiO3
Theoretical powder XRD pattern, Cu Kα X-rays. Input: a cell relaxed with GGA-PBE.
No peak broadening, texture or thermal motion is included.

The 8 most intense peaks (2θ = 10–90°), most intense first:
d [Å]  intensity  index
2.651  100  1 2 1
3.769  58  1 0 1
3.364  45  1 1 1
3.730  40  0 2 0
1.704  32  3 1 1
2.618  29  2 1 0
1.827  26  2 1 2
2.551  24  0 0 2

Cell and atoms:
Unit cell a=5.591 b=7.460 c=5.103 alpha=90.00 beta=90.00 gamma=90.00
Space group Pnma (No. 62)
Asymmetric unit:
Lu 0.079 0.250 0.024 [4 per cell]
Si 0.000 0.000 0.500 [4 per cell]
O 0.043 0.750 0.382 [4 per cell]
O 0.188 0.558 0.807 [8 per cell]

# ErSnPO
Theoretical powder XRD pattern, Cu Kα X-rays. Input: a cell relaxed with GGA-PBE.
No peak broadening, texture or thermal motion is included.

The 8 most intense peaks (2θ = 10–90°), most intense first:
d [Å]  intensity  index
2.739  100  1 1 1
3.103  73  1 0 2
2.524  49  1 0 3
4.851  44  0 0 2
2.019  43  2 0 0
1.848  39  1 1 4
1.692  25  2 1 2
1.576  23  2 1 3

Cell and atoms:
Unit cell a=4.037 b=4.037 c=9.703 alpha=90.00 beta=90.00 gamma=90.00
Space group P4/nmm (No. 129, origin choice 2)
Asymmetric unit:
Er 0.250 0.250 0.104 [2 per cell]
Sn 0.250 0.750 0.500 [2 per cell]
P 0.250 0.250 0.728 [2 per cell]
O 0.250 0.750 0.000 [2 per cell]

# Mg3Al18W2
Theoretical powder XRD pattern, Cu Kα X-rays. Input: a cell relaxed with GGA-PBE.
No peak broadening, texture or thermal motion is included.

The 8 most intense peaks (2θ = 10–90°), most intense first:
d [Å]  intensity  index
8.480  100  1 1 1
2.214  96  6 2 2
4.428  60  3 1 1
4.240  58  2 2 2
2.240  45  5 3 3
2.596  42  4 4 0
2.057  42  7 1 1
3.672  34  4 0 0

Cell and atoms:
Unit cell a=14.687 b=14.687 c=14.687 alpha=90.00 beta=90.00 gamma=90.00
Space group Fd-3m (No. 227, origin choice 2)
Asymmetric unit:
Mg 0.000 0.000 0.000 [16 per cell]
Mg 0.125 0.125 0.125 [8 per cell]
Al 0.018 0.375 0.875 [48 per cell]
Al 0.059 0.059 0.323 [96 per cell]
W 0.000 0.000 0.500 [16 per cell]

# Zn2H11O8
Theoretical powder XRD pattern, Cu Kα X-rays. Input: a cell relaxed with GGA-PBE.
No peak broadening, texture or thermal motion is included.

The 8 most intense peaks (2θ = 10–90°), most intense first:
d [Å]  intensity  index
3.918  100  0 1 -1
2.183  49  1 -1 2
3.466  32  1 0 1
2.373  29  1 0 -2
3.488  29  1 0 -1
3.509  29  1 -1 0
3.391  26  1 1 0
2.741  25  0 2 0

Cell and atoms:
Unit cell a=4.439 b=5.485 c=5.599 alpha=90.22 beta=90.37 gamma=91.99
Space group P1 (No. 1)
Asymmetric unit:
Zn 0.000 0.000 0.000 [1 per cell]
Zn 0.498 0.486 0.459 [1 per cell]
H 0.031 0.350 0.675 [1 per cell]
H 0.096 0.628 0.720 [1 per cell]
H 0.215 0.488 0.068 [1 per cell]
H 0.295 0.000 0.451 [1 per cell]
H 0.460 0.103 0.802 [1 per cell]
H 0.485 0.101 0.199 [1 per cell]
H 0.539 0.763 0.887 [1 per cell]
H 0.719 0.516 0.993 [1 per cell]
H 0.784 0.933 0.491 [1 per cell]
H 0.909 0.265 0.373 [1 per cell]
H 0.959 0.698 0.356 [1 per cell]
O 0.168 0.506 0.239 [1 per cell]
O 0.200 0.472 0.739 [1 per cell]
O 0.300 0.002 0.271 [1 per cell]
O 0.309 0.973 0.757 [1 per cell]
O 0.702 0.238 0.047 [1 per cell]
O 0.722 0.703 0.971 [1 per cell]
O 0.791 0.230 0.520 [1 per cell]
O 0.812 0.751 0.484 [1 per cell]

# PrScGa2Au2
Theoretical powder XRD pattern, Cu Kα X-rays. Input: a cell relaxed with GGA-PBE.
No peak broadening, texture or thermal motion is included.

The 8 most intense peaks (2θ = 10–90°), most intense first:
d [Å]  intensity  index
2.637  100  1 0 2
2.253  73  1 1 0
3.903  30  1 0 0
1.713  28  2 0 2
1.364  26  2 1 2
3.426  21  1 0 1
1.638  18  1 1 3
1.401  16  1 1 4

Cell and atoms:
Unit cell a=4.5069 b=4.5069 c=7.1513 alpha=90.00 beta=90.00 gamma=120.00
Space group P-6m2 (No. 187)
Asymmetric unit:
Pr 0.0000 0.0000 0.0000 [1 per cell]
Sc 0.0000 0.0000 0.5000 [1 per cell]
Ga 0.3333 0.6667 0.3042 [2 per cell]
Au 0.6667 0.3333 0.2776 [2 per cell]

# PaN
Theoretical powder XRD pattern, Cu Kα X-rays. Input: a cell relaxed with GGA-PBE.
No peak broadening, texture or thermal motion is included.

The 8 most intense peaks (2θ = 10–90°), most intense first:
d [Å]  intensity  index
2.843  100  1 0 1
2.467  87  0 1 2
2.868  34  0 0 3
1.751  31  1 0 4
1.487  31  1 1 3
1.739  31  1 1 0
1.421  16  2 0 2
1.494  16  0 1 5

Cell and atoms:
Unit cell a=3.4776 b=3.4776 c=8.6053 alpha=90.00 beta=90.00 gamma=120.00
Space group R-3m (No. 166, hexagonal axes)
Asymmetric unit:
Pa 0.0000 0.0000 0.0000 [3 per cell]
N 0.0000 0.0000 0.5000 [3 per cell]

# TePd10
Theoretical powder XRD pattern, Cu Kα X-rays. Input: a cell relaxed with GGA-PBE.
No peak broadening, texture or thermal motion is included.

The 8 most intense peaks (2θ = 10–90°), most intense first:
d [Å]  intensity  index
2.311  100  1 1 -11
2.255  96  3 1 4
2.293  53  3 1 3
1.967  52  0 2 0
2.192  49  1 1 -12
1.973  33  2 0 15
1.989  25  4 0 -7
1.938  25  4 0 -8

Cell and atoms:
Unit cell a=8.758 b=3.936 c=33.189 alpha=90.00 beta=90.11 gamma=90.00
Space group C2/m (No. 12)
Asymmetric unit:
Te 0.155 0.000 0.276 [4 per cell]
Pd 0.046 0.000 0.093 [4 per cell]
Pd 0.048 0.500 0.228 [4 per cell]
Pd 0.051 0.000 0.827 [4 per cell]
Pd 0.051 0.500 0.961 [4 per cell]
Pd 0.148 0.000 0.743 [4 per cell]
Pd 0.148 0.500 0.146 [4 per cell]
Pd 0.150 0.000 0.013 [4 per cell]
Pd 0.154 0.500 0.881 [4 per cell]
Pd 0.247 0.500 0.066 [4 per cell]
Pd 0.249 0.500 0.802 [4 per cell]